Calculated powder diffractogram of Li3V4CuO12 for Cu Kα, from a structure optimized by DFT (GGA+U).

Cell and atoms:
```
data_Li3V4CuO12
_chemical_formula_sum 'Li6 V8 Cu2 O24'
_cell_length_a 11.0779
_cell_length_b 11.2887
_cell_length_c 5.7251
_cell_angle_alpha 90.00
_cell_angle_beta 119.60
_cell_angle_gamma 90.00
_space_group_name_H-M_alt 'C 1 2 1'
_space_group_IT_number 5
_space_group_name_Hall 'C 2y'
loop_
_atom_site_label
_atom_site_fract_x
_atom_site_fract_y
_atom_site_fract_z
Li1 0.0000 0.0000 0.0000
Li2 0.0000 0.0050 0.5000
Li3 0.0000 0.4257 0.5000
V1 0.2164 0.8025 0.4902
V2 0.2167 0.6238 0.9897
Cu1 0.0000 0.4172 0.0000
O1 0.1091 0.5045 0.8580
O2 0.1115 0.9213 0.3596
O3 0.1138 0.3462 0.3588
O4 0.1164 0.0791 0.8637
O5 0.1805 0.7301 0.7295
O6 0.1825 0.6962 0.2316
```

Top 10 peaks for 2θ from 10° to 80°, sorted by position:
two_theta  I (rel.)  (hkl)
12.1  27  1 1 0
17.4  22  1 1 -1
18.4  21  2 0 0
23.8  69  0 2 1
24.2  100  2 2 -1
24.3  59  2 2 0
28.9  29  3 1 0
36.6  14  0 4 1
36.9  16  4 0 -2
45.1  13  2 4 -2